Calculated powder X-ray diffraction pattern
Compound: TlPtWO6
Radiation: copper Kα
Structure: DFT lattice parameters and positions (GGA+U)

Atomic structure:
```
TlPtWO6
1.0
-3.5755 3.7052 5.2022
3.5755 -3.7052 5.2022
3.5755 3.7052 -5.2022
Tl Pt W O
2 2 2 12
Cartesian
0.0000 1.8526 1.0983 Tl
3.5755 1.8526 4.1039 Tl
1.7877 1.8526 -2.6011 Pt
1.7877 -1.8526 2.6011 Pt
3.5755 0.0000 0.0000 W
0.0000 0.0000 5.2022 W
2.1815 -0.4189 1.2670 O
4.9695 -0.4189 1.2670 O
3.5755 -1.8526 3.3944 O
3.5755 1.8526 0.6283 O
2.1815 3.2863 -1.2670 O
1.3940 -0.4189 3.9352 O
2.1815 4.1241 1.2670 O
1.3940 0.4189 6.4691 O
0.0000 1.8526 4.5738 O
0.0000 5.5578 1.8077 O
-1.3940 4.1241 3.9352 O
1.3940 4.1241 3.9352 O
```

Main lines, sorted by position (2θ from 15° to 90°):
2θ (°)	Rel. int.
24.33	24
28.44	100
28.61	19
29.03	51
29.60	25
30.33	40
45.06	14
45.44	21
46.11	13
49.18	11
49.85	40
58.85	21